1.
Starting from a cell relaxed with PBE, the powder X-ray diffraction pattern of Rb4PtPb5 was simulated for Cu Kα, 1.54184 Å.
No peak broadening, texture or thermal motion is included.

Cell and atoms:
a = 8.5875 Å, b = 8.5875 Å, c = 8.5875 Å
α = 98.88°, β = 98.88°, γ = 133.73°
Positions (direct):
Rb: 0.0000 0.2967 0.2967
Rb: 0.0000 0.7033 0.7033
Rb: 0.2967 0.0000 0.2967
Rb: 0.7033 0.0000 0.7033
Pt: 0.7757 0.7757 0.0000
Pb: 0.1990 0.1990 0.0000
Pb: 0.3799 0.3799 0.7050
Pb: 0.3799 0.6749 0.0000
Pb: 0.6749 0.3799 0.0000
Pb: 0.6749 0.6749 0.2950

The 6 most intense peaks (10° ≤ 2θ ≤ 90°), most intense first:
- 2θ = 27.36°, intensity 100
- 2θ = 11.20°, intensity 95
- 2θ = 34.06°, intensity 40
- 2θ = 36.84°, intensity 34
- 2θ = 15.34°, intensity 21
- 2θ = 35.72°, intensity 21

---

2.
Starting from a cell relaxed with PBE, the powder X-ray diffraction pattern of RbPt3Pb3 was simulated for Cu Kα, 1.54184 Å.
No peak broadening, texture or thermal motion is included.

Cell and atoms:
a = 7.6715 Å, b = 7.6715 Å, c = 7.6715 Å
α = 90.00°, β = 90.00°, γ = 90.00°
Positions (direct):
Rb: 0.0000 0.0000 0.0000
Rb: 0.5000 0.5000 0.5000
Pt: 0.0000 0.2500 0.5000
Pt: 0.0000 0.7500 0.5000
Pt: 0.2500 0.5000 0.0000
Pt: 0.5000 0.0000 0.2500
Pt: 0.5000 0.0000 0.7500
Pt: 0.7500 0.5000 0.0000
Pb: 0.0000 0.5000 0.2500
Pb: 0.0000 0.5000 0.7500
Pb: 0.2500 0.0000 0.5000
Pb: 0.5000 0.2500 0.0000
Pb: 0.5000 0.7500 0.0000
Pb: 0.7500 0.0000 0.5000

The 6 most intense peaks (10° ≤ 2θ ≤ 90°), most intense first:
- 2θ = 28.50°, intensity 100
- 2θ = 16.34°, intensity 74
- 2θ = 40.74°, intensity 68
- 2θ = 44.17°, intensity 62
- 2θ = 47.40°, intensity 44
- 2θ = 23.19°, intensity 41

---

3.
Starting from a cell relaxed with PBE, the powder X-ray diffraction pattern of RbPt2Pb8 was simulated for Cu Kα, 1.54184 Å.
No peak broadening, texture or thermal motion is included.

Cell and atoms:
a = 6.7535 Å, b = 6.7535 Å, c = 9.4745 Å
α = 90.00°, β = 90.00°, γ = 90.00°
Positions (direct):
Rb: 0.0000 0.0000 0.0000
Pt: 0.0000 0.5000 0.5000
Pt: 0.5000 0.0000 0.5000
Pb: 0.2521 0.2521 0.3257
Pb: 0.2521 0.2521 0.6743
Pb: 0.2521 0.7479 0.3257
Pb: 0.2521 0.7479 0.6743
Pb: 0.7479 0.2521 0.3257
Pb: 0.7479 0.2521 0.6743
Pb: 0.7479 0.7479 0.3257
Pb: 0.7479 0.7479 0.6743

The 6 most intense peaks (10° ≤ 2θ ≤ 90°), most intense first:
- 2θ = 39.05°, intensity 100
- 2θ = 32.56°, intensity 89
- 2θ = 37.67°, intensity 66
- 2θ = 26.39°, intensity 51
- 2θ = 68.92°, intensity 39
- 2θ = 38.90°, intensity 30

---

4.
Starting from a cell relaxed with PBE, the powder X-ray diffraction pattern of PtRhPb was simulated for Cu Kα, 1.54184 Å.
No peak broadening, texture or thermal motion is included.

Cell and atoms:
a = 5.0902 Å, b = 5.0902 Å, c = 5.5431 Å
α = 100.61°, β = 100.61°, γ = 53.34°
Positions (direct):
Pt: 0.2253 0.2253 0.3408
Pt: 0.7747 0.7747 0.6592
Rh: 0.4541 0.4541 0.7520
Rh: 0.5459 0.5459 0.2480
Pb: 0.1255 0.1255 0.8115
Pb: 0.8745 0.8745 0.1885

The 6 most intense peaks (10° ≤ 2θ ≤ 90°), most intense first:
- 2θ = 37.05°, intensity 100
- 2θ = 39.44°, intensity 79
- 2θ = 36.09°, intensity 72
- 2θ = 42.50°, intensity 70
- 2θ = 38.12°, intensity 58
- 2θ = 33.03°, intensity 56

---

5.
Starting from a cell relaxed with PBE, the powder X-ray diffraction pattern of PtRh2Pb was simulated for Cu Kα, 1.54184 Å.
No peak broadening, texture or thermal motion is included.

Cell and atoms:
a = 4.8049 Å, b = 4.8049 Å, c = 4.8049 Å
α = 128.10°, β = 128.10°, γ = 76.47°
Positions (direct):
Pt: 0.0000 0.0000 0.0000
Rh: 0.2500 0.7500 0.5000
Rh: 0.7500 0.2500 0.5000
Pb: 0.5000 0.5000 0.0000

The 6 most intense peaks (10° ≤ 2θ ≤ 90°), most intense first:
- 2θ = 38.54°, intensity 100
- 2θ = 43.02°, intensity 37
- 2θ = 75.85°, intensity 28
- 2θ = 66.59°, intensity 20
- 2θ = 48.22°, intensity 13
- 2θ = 62.46°, intensity 12

---

6.
Starting from a cell relaxed with PBE, the powder X-ray diffraction pattern of SbPt2Pb was simulated for Cu Kα, 1.54184 Å.
No peak broadening, texture or thermal motion is included.

Cell and atoms:
a = 8.6366 Å, b = 7.4032 Å, c = 5.5468 Å
α = 90.00°, β = 90.00°, γ = 90.00°
Positions (direct):
Sb: 0.1253 0.0778 0.2500
Sb: 0.1253 0.4222 0.7500
Sb: 0.8747 0.5778 0.2500
Sb: 0.8747 0.9222 0.7500
Pt: 0.1095 0.7500 0.0000
Pt: 0.1095 0.7500 0.5000
Pt: 0.3560 0.2500 0.0000
Pt: 0.3560 0.2500 0.5000
Pt: 0.6440 0.7500 0.0000
Pt: 0.6440 0.7500 0.5000
Pt: 0.8905 0.2500 0.0000
Pt: 0.8905 0.2500 0.5000
Pb: 0.3783 0.5917 0.2500
Pb: 0.3783 0.9083 0.7500
Pb: 0.6217 0.0917 0.2500
Pb: 0.6217 0.4083 0.7500

The 6 most intense peaks (10° ≤ 2θ ≤ 90°), most intense first:
- 2θ = 40.53°, intensity 100
- 2θ = 42.18°, intensity 74
- 2θ = 28.84°, intensity 65
- 2θ = 40.65°, intensity 48
- 2θ = 41.84°, intensity 35
- 2θ = 29.00°, intensity 34

---

7.
Starting from a cell relaxed with PBE, the powder X-ray diffraction pattern of Sn2SbPtPb was simulated for Cu Kα, 1.54184 Å.
No peak broadening, texture or thermal motion is included.

Cell and atoms:
a = 6.0083 Å, b = 6.0083 Å, c = 5.0561 Å
α = 90.00°, β = 90.00°, γ = 90.00°
Positions (direct):
Sn: 0.0000 0.5000 0.0000
Sn: 0.5000 0.0000 0.0000
Sb: 0.0000 0.0000 0.0000
Pt: 0.0000 0.0000 0.5000
Pb: 0.5000 0.5000 0.5000

The 6 most intense peaks (10° ≤ 2θ ≤ 90°), most intense first:
- 2θ = 27.42°, intensity 100
- 2θ = 29.74°, intensity 88
- 2θ = 46.98°, intensity 51
- 2θ = 51.37°, intensity 37
- 2θ = 42.56°, intensity 34
- 2θ = 56.59°, intensity 30

---

8.
Starting from a cell relaxed with PBE, the powder X-ray diffraction pattern of TbSb2Pt7Pb2 was simulated for Cu Kα, 1.54184 Å.
No peak broadening, texture or thermal motion is included.

Cell and atoms:
a = 4.0399 Å, b = 4.0399 Å, c = 16.6047 Å
α = 96.92°, β = 96.92°, γ = 90.01°
Positions (direct):
Tb: 0.0000 0.0000 0.0000
Sb: 0.3833 0.3833 0.7637
Sb: 0.6167 0.6167 0.2363
Pt: 0.0650 0.5654 0.1314
Pt: 0.3031 0.3031 0.6037
Pt: 0.4346 0.9350 0.8686
Pt: 0.5000 0.5000 0.0000
Pt: 0.5654 0.0650 0.1314
Pt: 0.6969 0.6969 0.3963
Pt: 0.9350 0.4346 0.8686
Pb: 0.2132 0.2132 0.4275
Pb: 0.7868 0.7868 0.5725

The 6 most intense peaks (10° ≤ 2θ ≤ 90°), most intense first:
- 2θ = 41.98°, intensity 100
- 2θ = 44.87°, intensity 83
- 2θ = 35.47°, intensity 62
- 2θ = 31.80°, intensity 62
- 2θ = 38.44°, intensity 45
- 2θ = 10.81°, intensity 43

---

9.
Starting from a cell relaxed with PBE, the powder X-ray diffraction pattern of ScPtPb was simulated for Cu Kα, 1.54184 Å.
No peak broadening, texture or thermal motion is included.

Cell and atoms:
a = 3.6853 Å, b = 3.6853 Å, c = 6.1160 Å
α = 90.00°, β = 90.00°, γ = 120.00°
Positions (direct):
Sc: 0.0000 0.0000 0.0000
Pt: 0.3333 0.6667 0.7534
Pb: 0.6667 0.3333 0.4192

The 6 most intense peaks (10° ≤ 2θ ≤ 90°), most intense first:
- 2θ = 31.62°, intensity 100
- 2θ = 40.87°, intensity 48
- 2θ = 49.46°, intensity 26
- 2θ = 14.48°, intensity 24
- 2θ = 59.90°, intensity 17
- 2θ = 68.66°, intensity 16

---

10.
Starting from a cell relaxed with PBE, the powder X-ray diffraction pattern of Sn3Pt12Pb was simulated for Cu Kα, 1.54184 Å.
No peak broadening, texture or thermal motion is included.

Cell and atoms:
a = 4.0756 Å, b = 4.0756 Å, c = 16.3188 Å
α = 90.00°, β = 90.00°, γ = 90.00°
Positions (direct):
Sn: 0.0000 0.0000 0.0000
Sn: 0.0000 0.0000 0.2475
Sn: 0.0000 0.0000 0.7525
Pt: 0.0000 0.5000 0.1239
Pt: 0.0000 0.5000 0.3699
Pt: 0.0000 0.5000 0.6301
Pt: 0.0000 0.5000 0.8761
Pt: 0.5000 0.0000 0.1239
Pt: 0.5000 0.0000 0.3699
Pt: 0.5000 0.0000 0.6301
Pt: 0.5000 0.0000 0.8761
Pt: 0.5000 0.5000 0.0000
Pt: 0.5000 0.5000 0.2474
Pt: 0.5000 0.5000 0.5000
Pt: 0.5000 0.5000 0.7526
Pb: 0.0000 0.0000 0.5000

The 6 most intense peaks (10° ≤ 2θ ≤ 90°), most intense first:
- 2θ = 38.24°, intensity 100
- 2θ = 44.44°, intensity 49
- 2θ = 77.68°, intensity 39
- 2θ = 64.67°, intensity 33
- 2θ = 81.84°, intensity 11
- 2θ = 21.80°, intensity 1

---

11.
Starting from a cell relaxed with PBE, the powder X-ray diffraction pattern of SrPt4Pb12 was simulated for Cu Kα, 1.54184 Å.
No peak broadening, texture or thermal motion is included.

Cell and atoms:
a = 8.6127 Å, b = 8.6127 Å, c = 8.6127 Å
α = 109.47°, β = 109.47°, γ = 109.47°
Positions (direct):
Sr: 0.0000 0.0000 0.0000
Pt: 0.0000 0.0000 0.5000
Pt: 0.0000 0.5000 0.0000
Pt: 0.5000 0.0000 0.0000
Pt: 0.5000 0.5000 0.5000
Pb: 0.1603 0.3407 0.5009
Pb: 0.1603 0.6593 0.8196
Pb: 0.1804 0.8397 0.3407
Pb: 0.3407 0.1804 0.8397
Pb: 0.3407 0.5009 0.1603
Pb: 0.4991 0.8397 0.6593
Pb: 0.5009 0.1603 0.3407
Pb: 0.6593 0.4991 0.8397
Pb: 0.6593 0.8196 0.1603
Pb: 0.8196 0.1603 0.6593
Pb: 0.8397 0.3407 0.1804
Pb: 0.8397 0.6593 0.4991

The 6 most intense peaks (10° ≤ 2θ ≤ 90°), most intense first:
- 2θ = 28.38°, intensity 100
- 2θ = 33.72°, intensity 39
- 2θ = 40.57°, intensity 37
- 2θ = 44.64°, intensity 34
- 2θ = 46.56°, intensity 27
- 2θ = 63.44°, intensity 20

---

12.
Starting from a cell relaxed with PBE, the powder X-ray diffraction pattern of SrPt10Pb was simulated for Cu Kα, 1.54184 Å.
No peak broadening, texture or thermal motion is included.

Cell and atoms:
a = 4.4217 Å, b = 5.4788 Å, c = 9.4078 Å
α = 90.00°, β = 90.00°, γ = 90.00°
Positions (direct):
Sr: 0.0000 0.0000 0.0000
Pt: 0.0000 0.0000 0.3384
Pt: 0.0000 0.0000 0.6616
Pt: 0.0000 0.5000 0.1730
Pt: 0.0000 0.5000 0.8270
Pt: 0.5000 0.0000 0.5000
Pt: 0.5000 0.2486 0.2488
Pt: 0.5000 0.2486 0.7512
Pt: 0.5000 0.5000 0.0000
Pt: 0.5000 0.7514 0.2488
Pt: 0.5000 0.7514 0.7512
Pb: 0.0000 0.5000 0.5000

The 6 most intense peaks (10° ≤ 2θ ≤ 90°), most intense first:
- 2θ = 38.85°, intensity 100
- 2θ = 43.36°, intensity 55
- 2θ = 40.82°, intensity 51
- 2θ = 38.67°, intensity 51
- 2θ = 18.74°, intensity 33
- 2θ = 38.01°, intensity 29

---

13.
Starting from a cell relaxed with PBE, the powder X-ray diffraction pattern of SrPt2Pb4 was simulated for Cu Kα, 1.54184 Å.
No peak broadening, texture or thermal motion is included.

Cell and atoms:
a = 19.7637 Å, b = 4.7048 Å, c = 7.8232 Å
α = 90.00°, β = 90.00°, γ = 90.00°
Positions (direct):
Sr: 0.1431 0.2500 0.0313
Sr: 0.3569 0.7500 0.5313
Sr: 0.6431 0.2500 0.4687
Sr: 0.8569 0.7500 0.9687
Pt: 0.0397 0.7500 0.2342
Pt: 0.2161 0.2500 0.5420
Pt: 0.2839 0.7500 0.0420
Pt: 0.4603 0.2500 0.7342
Pt: 0.5397 0.7500 0.2658
Pt: 0.7161 0.2500 0.9580
Pt: 0.7839 0.7500 0.4580
Pt: 0.9603 0.2500 0.7658
Pb: 0.0322 0.7500 0.8583
Pb: 0.0668 0.2500 0.4941
Pb: 0.1818 0.7500 0.3288
Pb: 0.1936 0.7500 0.7440
Pb: 0.3064 0.2500 0.2440
Pb: 0.3182 0.2500 0.8288
Pb: 0.4332 0.7500 0.9941
Pb: 0.4678 0.2500 0.3583
Pb: 0.5322 0.7500 0.6417
Pb: 0.5668 0.2500 0.0059
Pb: 0.6818 0.7500 0.1712
Pb: 0.6936 0.7500 0.7560
Pb: 0.8064 0.2500 0.2560
Pb: 0.8182 0.2500 0.6712
Pb: 0.9332 0.7500 0.5059
Pb: 0.9678 0.2500 0.1417

The 6 most intense peaks (10° ≤ 2θ ≤ 90°), most intense first:
- 2θ = 31.08°, intensity 100
- 2θ = 40.61°, intensity 91
- 2θ = 31.70°, intensity 69
- 2θ = 38.26°, intensity 64
- 2θ = 33.75°, intensity 27
- 2θ = 33.20°, intensity 20